Calculated X-ray powder pattern
Compound: Li7V3NiP6O24
Radiation: λ = 1.5418 Å (Cu Kα)
Structure: a crystal structure in the Materials Project, relaxed with PBE+U
Intensities are scaled so that the largest is 100.

Structure:
```
data_Li7V3NiP6O24
_symmetry_space_group_name_H-M 'P 1'
_symmetry_Int_Tables_number 1
_cell_length_a 8.8493
_cell_length_b 8.8493
_cell_length_c 8.8493
_cell_angle_alpha 60.10
_cell_angle_beta 60.10
_cell_angle_gamma 60.10
loop_
_symmetry_equiv_pos_as_xyz
'x,y,z'
loop_
_atom_site_label
_atom_site_type_symbol
_atom_site_fract_x
_atom_site_fract_y
_atom_site_fract_z
Li1 Li 0.0000 0.0000 0.0000
Li2 Li 0.1536 0.3243 0.7680
Li3 Li 0.2378 0.7645 0.5963
Li4 Li 0.3244 0.7680 0.1536
Li5 Li 0.5963 0.2378 0.7645
Li6 Li 0.7645 0.5963 0.2378
Li7 Li 0.7680 0.1536 0.3244
V1 V 0.3335 0.3335 0.3335
V2 V 0.6243 0.6243 0.6243
V3 V 0.8341 0.8341 0.8341
Ni1 Ni 0.1290 0.1290 0.1290
P1 P 0.0176 0.7321 0.4328
P2 P 0.2319 0.5177 0.9337
P3 P 0.4328 0.0176 0.7321
P4 P 0.5177 0.9337 0.2319
P5 P 0.7321 0.4328 0.0176
P6 P 0.9337 0.2319 0.5177
O1 O 0.0019 0.7666 0.5972
O2 O 0.0244 0.9067 0.2549
O3 O 0.0697 0.7028 0.8996
O4 O 0.1007 0.2671 0.4855
O5 O 0.2002 0.3545 0.9465
O6 O 0.2070 0.5790 0.3904
O7 O 0.2549 0.0244 0.9067
O8 O 0.2671 0.4855 0.1007
O9 O 0.3545 0.9465 0.2002
O10 O 0.3904 0.2070 0.5790
O11 O 0.3996 0.5431 0.7508
O12 O 0.4754 0.8544 0.6840
O13 O 0.4855 0.1007 0.2671
O14 O 0.5431 0.7508 0.3996
O15 O 0.5790 0.3904 0.2070
O16 O 0.5972 0.0019 0.7666
O17 O 0.6840 0.4754 0.8544
O18 O 0.7028 0.8996 0.0697
O19 O 0.7508 0.3996 0.5431
O20 O 0.7666 0.5972 0.0019
O21 O 0.8544 0.6840 0.4754
O22 O 0.8996 0.0697 0.7028
O23 O 0.9067 0.2549 0.0244
O24 O 0.9465 0.2002 0.3545
```

Main lines, sorted by position (2θ = 15–90°):
2θ = 20.06°, intensity 70; 2θ = 23.56°, intensity 100; 2θ = 28.51°, intensity 32; 2θ = 31.10°, intensity 20; 2θ = 31.98°, intensity 40; 2θ = 35.08°, intensity 30; 2θ = 48.19°, intensity 26; 2θ = 54.82°, intensity 25


Calculated X-ray powder pattern
Compound: Li4VNi3P4O16
Radiation: λ = 1.5418 Å (Cu Kα)
Structure: a crystal structure in the Materials Project, relaxed with PBE+U
Intensities are scaled so that the largest is 100.

Structure:
```
data_Li4VNi3P4O16
_symmetry_space_group_name_H-M 'P 1'
_symmetry_Int_Tables_number 1
_cell_length_a 4.7421
_cell_length_b 5.9821
_cell_length_c 10.2219
_cell_angle_alpha 90.00
_cell_angle_beta 90.14
_cell_angle_gamma 90.00
loop_
_symmetry_equiv_pos_as_xyz
'x,y,z'
loop_
_atom_site_label
_atom_site_type_symbol
_atom_site_fract_x
_atom_site_fract_y
_atom_site_fract_z
Li1 Li 0.0000 0.2486 0.0000
Li2 Li 0.0000 0.7514 0.0000
Li3 Li 0.4988 0.2494 0.4948
Li4 Li 0.4988 0.7506 0.4948
V1 V 0.9792 0.5000 0.7221
Ni1 Ni 0.0178 0.0000 0.2730
Ni2 Ni 0.4796 0.0000 0.7735
Ni3 Ni 0.5191 0.5000 0.2210
P1 P 0.0845 0.5000 0.4003
P2 P 0.4146 0.5000 0.9052
P3 P 0.5825 0.0000 0.0914
P4 P 0.9131 0.0000 0.5902
O1 O 0.2052 0.5000 0.5413
O2 O 0.2245 0.2935 0.3297
O3 O 0.2245 0.7065 0.3297
O4 O 0.2383 0.0000 0.5975
O5 O 0.2590 0.0000 0.0972
O6 O 0.2772 0.2921 0.8343
O7 O 0.2772 0.7079 0.8343
O8 O 0.2967 0.5000 0.0466
O9 O 0.6992 0.0000 0.9490
O10 O 0.7240 0.2057 0.1625
O11 O 0.7240 0.7943 0.1625
O12 O 0.7372 0.5000 0.9016
O13 O 0.7607 0.5000 0.3954
O14 O 0.7706 0.2033 0.6605
O15 O 0.7706 0.7967 0.6605
O16 O 0.7990 0.0000 0.4471
```

Main lines, sorted by position (2θ = 15–90°):
2θ = 17.35°, intensity 36; 2θ = 20.65°, intensity 48; 2θ = 25.50°, intensity 83; 2θ = 29.87°, intensity 60; 2θ = 35.75°, intensity 100; 2θ = 36.59°, intensity 26; 2θ = 52.40°, intensity 36; 2θ = 56.92°, intensity 24


Please write out number 1 again, unchanged.
Calculated X-ray powder pattern
Compound: Li7V3NiP6O24
Radiation: λ = 1.5418 Å (Cu Kα)
Structure: a crystal structure in the Materials Project, relaxed with PBE+U
Intensities are scaled so that the largest is 100.

Structure:
```
data_Li7V3NiP6O24
_symmetry_space_group_name_H-M 'P 1'
_symmetry_Int_Tables_number 1
_cell_length_a 8.8493
_cell_length_b 8.8493
_cell_length_c 8.8493
_cell_angle_alpha 60.10
_cell_angle_beta 60.10
_cell_angle_gamma 60.10
loop_
_symmetry_equiv_pos_as_xyz
'x,y,z'
loop_
_atom_site_label
_atom_site_type_symbol
_atom_site_fract_x
_atom_site_fract_y
_atom_site_fract_z
Li1 Li 0.0000 0.0000 0.0000
Li2 Li 0.1536 0.3243 0.7680
Li3 Li 0.2378 0.7645 0.5963
Li4 Li 0.3244 0.7680 0.1536
Li5 Li 0.5963 0.2378 0.7645
Li6 Li 0.7645 0.5963 0.2378
Li7 Li 0.7680 0.1536 0.3244
V1 V 0.3335 0.3335 0.3335
V2 V 0.6243 0.6243 0.6243
V3 V 0.8341 0.8341 0.8341
Ni1 Ni 0.1290 0.1290 0.1290
P1 P 0.0176 0.7321 0.4328
P2 P 0.2319 0.5177 0.9337
P3 P 0.4328 0.0176 0.7321
P4 P 0.5177 0.9337 0.2319
P5 P 0.7321 0.4328 0.0176
P6 P 0.9337 0.2319 0.5177
O1 O 0.0019 0.7666 0.5972
O2 O 0.0244 0.9067 0.2549
O3 O 0.0697 0.7028 0.8996
O4 O 0.1007 0.2671 0.4855
O5 O 0.2002 0.3545 0.9465
O6 O 0.2070 0.5790 0.3904
O7 O 0.2549 0.0244 0.9067
O8 O 0.2671 0.4855 0.1007
O9 O 0.3545 0.9465 0.2002
O10 O 0.3904 0.2070 0.5790
O11 O 0.3996 0.5431 0.7508
O12 O 0.4754 0.8544 0.6840
O13 O 0.4855 0.1007 0.2671
O14 O 0.5431 0.7508 0.3996
O15 O 0.5790 0.3904 0.2070
O16 O 0.5972 0.0019 0.7666
O17 O 0.6840 0.4754 0.8544
O18 O 0.7028 0.8996 0.0697
O19 O 0.7508 0.3996 0.5431
O20 O 0.7666 0.5972 0.0019
O21 O 0.8544 0.6840 0.4754
O22 O 0.8996 0.0697 0.7028
O23 O 0.9067 0.2549 0.0244
O24 O 0.9465 0.2002 0.3545
```

Main lines, sorted by position (2θ = 15–90°):
2θ = 20.06°, intensity 70; 2θ = 23.56°, intensity 100; 2θ = 28.51°, intensity 32; 2θ = 31.10°, intensity 20; 2θ = 31.98°, intensity 40; 2θ = 35.08°, intensity 30; 2θ = 48.19°, intensity 26; 2θ = 54.82°, intensity 25


Number 1 is which compound? Li7V3NiP6O24


What is the formula in the second record? Li4VNi3P4O16